Entry 1:
For Li4VP6H8O22, the GGA+U geometry in the Materials Project gives the theoretical XRD peak list in this record (Cu Kα (weighted mean of Kα1 and Kα2)).
Intensities are scaled so that the largest is 100.

Crystal structure
```
Li4VP6H8O22
1.0
7.0016 0.0000 0.0000
0.5512 7.5306 0.0000
1.9713 0.6369 8.2515
Li V P H O
4 1 6 8 22
Cartesian
0.8511 2.6540 0.7076
3.9861 3.7457 6.0062
5.5380 4.4219 2.2453
8.6730 5.5136 7.5438
0.9857 0.3185 4.1257
3.1424 0.6548 6.6360
4.7339 5.9570 8.1883
3.8592 1.8048 2.7635
5.6649 6.3628 5.4880
4.7902 2.2106 0.0632
6.3817 7.5128 1.6154
1.1239 3.2085 3.2014
1.1853 4.6312 2.5815
2.8472 5.9191 2.5588
3.3008 5.8105 4.0569
6.2233 2.3570 4.1946
6.6769 2.2485 5.6927
8.3388 3.5364 5.6699
8.4003 4.9591 5.0500
1.7975 4.3960 5.7488
2.4494 7.5065 6.1156
2.5123 6.0538 3.4956
3.1547 2.1268 6.8847
3.6532 4.9597 7.8348
2.5120 1.5996 3.3676
4.1373 7.4592 8.0227
3.4542 5.2306 1.2564
4.9487 7.8124 5.6544
3.6235 2.2119 1.2008
4.7460 5.3519 4.8578
4.7782 2.8156 3.3936
5.9006 5.9557 7.0507
4.5755 0.3552 2.5971
6.0699 2.9370 6.9951
5.3868 0.7084 0.2287
7.0121 6.5680 4.8839
5.8709 3.2078 0.4167
6.3694 6.0408 1.3668
7.0118 2.1138 4.7559
7.0747 0.6611 2.1359
7.7266 3.7715 2.5027
```

Largest 10 diffraction maxima, in order of rising 2θ, 2θ from 15° to 90°:
Position (°2θ)  Rel. int.
15.33  54
17.12  23
18.05  66
18.69  28
22.53  27
24.36  32
27.71  100
30.61  51
33.84  19
35.56  37

---

Entry 2:
For LiVP3HO10, the GGA+U geometry in the Materials Project gives the theoretical XRD peak list in this record (Cu Kα (weighted mean of Kα1 and Kα2)).
Intensities are scaled so that the largest is 100.

Crystal structure
```
LiVP3HO10
1.0
4.7046 -4.3360 0.0000
4.7046 4.3360 0.0000
-2.6049 0.0000 5.7918
Li V P H O
1 1 3 1 10
Cartesian
0.0000 0.0000 0.0000
3.4021 -1.3805 2.8959
1.4641 1.1103 3.4774
5.3401 1.1103 2.3144
4.7046 -0.5654 0.0000
3.4021 2.2562 2.8959
2.4848 2.2455 3.7107
4.3194 2.2455 2.0810
1.1706 0.4295 4.9408
2.0060 0.0184 2.5538
5.6336 0.4295 0.8510
3.7831 -1.3787 0.8647
4.7982 0.0184 3.2380
2.0054 -2.7961 2.7730
3.0211 -1.3787 4.9271
4.7988 -2.7961 3.0188
```

Largest 10 diffraction maxima, in order of rising 2θ, 2θ from 15° to 90°:
Position (°2θ)  Rel. int.
15.30  100
17.78  33
20.08  27
25.66  36
28.83  47
29.28  70
30.05  36
30.88  24
36.01  21
44.57  21

---

Entry 3:
For LiVP3HO10, the GGA+U geometry in the Materials Project gives the theoretical XRD peak list in this record (Cu Kα (weighted mean of Kα1 and Kα2)).
Intensities are scaled so that the largest is 100.

Crystal structure
```
LiVP3HO10
1.0
6.0397 -4.1226 0.0000
6.0397 4.1226 0.0000
-3.5637 0.0000 8.9073
Li V P H O
2 2 6 2 20
Cartesian
3.3669 3.4968 6.6805
5.1488 -3.4968 2.2268
3.0198 2.0613 0.0000
1.2380 -2.0613 4.4537
0.9979 0.5971 6.2675
2.7797 -0.5971 1.8138
5.1488 1.0878 2.2268
3.3669 -1.0878 6.6805
5.7360 0.5971 7.0935
7.5179 -0.5971 2.6399
1.2380 2.0613 4.4537
3.0198 -2.0613 0.0000
1.6748 1.7976 5.5634
-0.0519 0.9694 7.2953
2.2038 0.4216 0.8292
4.8206 1.8709 0.9858
0.4219 -0.4216 5.2829
5.4770 1.8709 3.4678
1.7299 -0.9694 2.8416
3.9596 0.1139 2.6704
2.1778 -0.1139 7.1241
5.0591 1.7976 7.7976
3.4566 -1.7976 1.1097
6.3379 0.1139 1.7832
4.5561 -0.1139 6.2369
6.7858 0.9694 6.0657
3.0387 -1.8709 5.4395
8.0938 0.4216 3.6245
3.6952 -1.8709 7.9215
6.3120 -0.4216 8.0781
8.5676 -0.9694 1.6121
6.8410 -1.7976 3.3440
```

Largest 10 diffraction maxima, in order of rising 2θ, 2θ from 15° to 90°:
Position (°2θ)  Rel. int.
15.80  100
19.94  20
20.34  28
21.44  59
26.49  33
29.53  35
29.81  44
30.73  45
31.13  24
31.92  23

---

Entry 4:
For LiVSi4H2O12, the GGA+U geometry in the Materials Project gives the theoretical XRD peak list in this record (Cu Kα (weighted mean of Kα1 and Kα2)).
Intensities are scaled so that the largest is 100.

Crystal structure
```
LiVSi4H2O12
1.0
7.3554 0.0000 0.0000
0.1994 8.1486 0.0000
0.0254 3.8466 8.2465
Li V Si H O
2 2 8 4 24
Cartesian
1.0065 3.5670 2.6246
6.5736 8.4282 5.6219
0.1124 5.9976 4.1233
3.6904 1.9233 4.1233
1.0078 8.9166 2.8233
2.0375 10.4153 6.7015
2.0045 6.4590 1.5220
2.8322 4.7962 5.5812
4.7479 7.1991 2.6653
5.5757 5.5362 6.7246
5.5426 1.5799 1.5451
6.5724 3.0786 5.4232
2.1620 3.8379 0.2710
2.9609 2.9211 1.2884
4.6192 9.0742 6.9581
5.4182 8.1573 7.9755
0.3777 7.8812 3.9291
0.5680 10.1851 5.9929
0.9778 5.5967 2.4536
1.5844 8.0382 1.5737
1.7439 5.8458 4.9846
1.9650 9.7868 8.2131
1.9205 1.7954 3.4235
2.0591 3.2048 1.0032
2.1486 3.8756 6.7667
3.2193 9.6483 5.8795
3.3723 3.7356 4.4415
3.5433 6.2995 2.0364
4.0369 5.6957 6.2101
4.2079 8.2597 3.8050
4.3609 2.3469 2.3671
5.4316 8.1196 1.4799
5.5211 8.7905 7.2433
5.6597 10.1999 4.8231
5.6152 2.2085 0.0335
5.8362 6.1495 3.2619
5.9957 3.9570 6.6728
6.6024 6.3985 5.7929
7.0122 1.8101 2.2537
7.2025 4.1140 4.3174
```

Largest 10 diffraction maxima, in order of rising 2θ, 2θ from 15° to 90°:
Position (°2θ)  Rel. int.
17.05  68
17.24  34
19.73  26
21.82  56
22.53  25
23.24  40
26.63  100
26.75  36
31.23  50
31.98  35